# 1
Structure and computed PXRD pattern of NaPaHg2Br6 (a DFT-relaxed cell (PBE, Alexandria); Cu Kα).
Intensities are scaled so that the largest is 100.

Main lines, sorted by position (2θ = 10–90°):
(1 0 -2), 2θ = 13.21°, d = 6.702 Å, rel. 47
(0 2 0), 2θ = 21.65°, d = 4.104 Å, rel. 88
(2 0 0), 2θ = 26.60°, d = 3.351 Å, rel. 62
(0 0 4), 2θ = 30.81°, d = 2.902 Å, rel. 100
(2 0 2), 2θ = 37.97°, d = 2.369 Å, rel. 42
(2 2 2), 2θ = 44.13°, d = 2.052 Å, rel. 73
(2 4 -2), 2θ = 49.67°, d = 1.835 Å, rel. 23
(2 0 -8), 2θ = 52.28°, d = 1.750 Å, rel. 26
(4 0 -8), 2θ = 54.79°, d = 1.675 Å, rel. 25
(2 2 -10), 2θ = 72.88°, d = 1.298 Å, rel. 31

Structure:
```
NaPaHg2Br6
1.0
8.202 0.000 0.000
0.000 8.213 0.000
-8.184 0.000 11.609
Na Pa Hg Br
2 2 4 12
Cartesian
0.000 0.000 0.000
-4.092 4.107 5.804
0.009 0.000 5.804
4.101 4.107 0.000
-4.093 0.002 8.710
-0.001 4.104 2.905
4.112 8.211 2.899
0.020 4.109 8.703
-0.016 8.210 3.086
-1.945 1.889 5.821
2.147 2.217 0.017
-4.108 4.109 8.890
2.210 6.059 0.020
-1.882 6.261 5.824
1.900 1.953 5.785
-2.192 2.154 11.589
0.034 0.003 8.523
4.126 4.104 2.719
-2.129 5.996 11.592
1.963 6.324 5.788
```



# 2
Structure and computed PXRD pattern of Na2HgPbBr4 (a DFT-relaxed cell (PBE, Alexandria); Cu Kα).
Intensities are scaled so that the largest is 100.

Main lines, sorted by position (2θ = 10–90°):
(2 0 0), 2θ = 12.95°, d = 6.836 Å, rel. 42
(0 0 2), 2θ = 21.53°, d = 4.127 Å, rel. 32
(1 1 -1), 2θ = 22.76°, d = 3.906 Å, rel. 47
(3 1 -1), 2θ = 27.84°, d = 3.205 Å, rel. 100
(2 0 2), 2θ = 28.53°, d = 3.129 Å, rel. 49
(3 1 1), 2θ = 32.31°, d = 2.771 Å, rel. 30
(1 1 -3), 2θ = 37.32°, d = 2.410 Å, rel. 41
(0 2 0), 2θ = 40.73°, d = 2.215 Å, rel. 21
(5 1 1), 2θ = 43.07°, d = 2.100 Å, rel. 33
(2 2 2), 2θ = 50.48°, d = 1.808 Å, rel. 20

Structure:
```
Na2HgPbBr4
1.0
14.375 0.000 0.000
0.000 4.430 0.000
-2.677 0.000 8.245
Na Hg Pb Br
4 2 2 8
Cartesian
2.657 0.000 1.805
1.853 2.215 6.440
9.845 2.215 1.805
9.041 0.000 6.440
0.000 2.215 0.000
7.188 0.000 0.000
-1.338 0.000 4.122
5.849 2.215 4.122
0.730 2.215 3.492
0.031 0.000 6.844
4.480 2.215 1.401
3.781 0.000 4.753
7.917 0.000 3.492
7.218 2.215 6.844
11.667 0.000 1.401
10.968 2.215 4.753
```



# 3
Structure and computed PXRD pattern of Na2HgPdBr6 (a DFT-relaxed cell (PBE, Alexandria); Cu Kα).
Intensities are scaled so that the largest is 100.

Main lines, sorted by position (2θ = 10–90°):
(1 0 1), 2θ = 15.92°, d = 5.567 Å, rel. 100
(1 1 0), 2θ = 16.83°, d = 5.269 Å, rel. 82
(0 1 1), 2θ = 16.93°, d = 5.237 Å, rel. 93
(0 1 -1), 2θ = 20.91°, d = 4.248 Å, rel. 55
(1 -1 1), 2θ = 25.17°, d = 3.539 Å, rel. 40
(1 2 0), 2θ = 27.04°, d = 3.298 Å, rel. 71
(-1 1 1), 2θ = 27.55°, d = 3.237 Å, rel. 68
(2 1 -1), 2θ = 36.97°, d = 2.431 Å, rel. 53
(2 1 3), 2θ = 37.34°, d = 2.408 Å, rel. 43
(0 3 1), 2θ = 40.92°, d = 2.205 Å, rel. 50

Structure:
```
Na2HgPdBr6
1.0
7.056 0.000 0.000
2.860 6.665 0.000
3.320 1.408 6.679
Na Hg Pd Br
2 1 1 6
Cartesian
0.000 0.000 0.000
6.431 4.351 3.458
3.112 1.989 2.845
9.747 5.943 6.380
4.429 4.362 1.156
5.157 1.702 4.325
7.294 6.282 1.246
8.926 4.030 5.027
8.060 2.376 1.520
11.690 6.310 4.858
```